No. 1
For Li4DyTl3, a structure optimized by DFT (GGA-PBE) gives the calculated powder diffraction line list in this record (Cu Kα, 1.54184 Å).
Peak positions follow from Bragg's law for the DFT cell and can differ from measured ones.

Atomic structure:
```
8
Lattice="2.435 1.406 8.318 -2.435 1.406 8.318 0.000 -2.811 8.318" Properties=species:S:1:pos:R:3 pbc="T T T"
Li 0.000 0.000 2.723
Li 0.000 0.000 9.223
Li 0.000 0.000 15.731
Li 0.000 0.000 22.231
Dy 0.000 0.000 12.477
Tl 0.000 0.000 0.000
Tl 0.000 0.000 5.883
Tl 0.000 0.000 19.071
```

The 10 most intense peaks (2θ from 10° to 90°), sorted by position:
- 2θ = 25.49°, I = 100
- 2θ = 35.81°, I = 38
- 2θ = 36.92°, I = 46
- 2θ = 45.40°, I = 25
- 2θ = 52.37°, I = 18
- 2θ = 58.36°, I = 12
- 2θ = 59.89°, I = 21
- 2θ = 65.79°, I = 15
- 2θ = 66.52°, I = 8
- 2θ = 89.48°, I = 8

---

No. 2
For H5Pd4Au2, a structure optimized by DFT (GGA-PBE) gives the calculated powder diffraction line list in this record (Cu Kα, 1.54184 Å).
Peak positions follow from Bragg's law for the DFT cell and can differ from measured ones.

Atomic structure:
```
11
Lattice="2.859 0.000 0.000 0.005 4.886 0.000 0.095 1.356 9.752" Properties=species:S:1:pos:R:3 pbc="T T T"
H 0.000 0.000 0.000
H 0.095 3.280 8.528
H 1.431 4.228 2.373
H 1.427 1.299 1.181
H 1.503 3.977 5.871
Pd 0.070 3.285 6.751
Pd 1.450 4.318 4.138
Pd 1.522 2.308 9.132
Pd 2.859 0.351 1.789
Au 1.497 5.769 6.723
Au 2.883 1.896 4.157
```

The 10 most intense peaks (2θ from 10° to 90°), sorted by position:
- 2θ = 18.33°, I = 73
- 2θ = 27.44°, I = 37
- 2θ = 36.51°, I = 39
- 2θ = 36.87°, I = 100
- 2θ = 38.26°, I = 90
- 2θ = 38.42°, I = 90
- 2θ = 39.22°, I = 83
- 2θ = 44.01°, I = 55
- 2θ = 44.40°, I = 60
- 2θ = 44.79°, I = 58

---

No. 3
For PuSc2Se3, a structure optimized by DFT (GGA-PBE) gives the calculated powder diffraction line list in this record (Cu Kα, 1.54184 Å).
Peak positions follow from Bragg's law for the DFT cell and can differ from measured ones.

Atomic structure:
```
12
Lattice="3.936 0.000 0.000 0.000 5.630 0.000 0.000 0.000 11.924" Properties=species:S:1:pos:R:3 pbc="T T T"
Pu 0.000 0.000 0.000
Pu 1.968 2.815 5.962
Sc 0.000 0.000 4.007
Sc 0.000 0.000 7.917
Sc 1.968 2.815 1.955
Sc 1.968 2.815 9.969
Se 0.000 2.815 0.000
Se 0.000 2.815 3.849
Se 0.000 2.815 8.075
Se 1.968 0.000 2.113
Se 1.968 0.000 5.962
Se 1.968 0.000 9.810
```

The 10 most intense peaks (2θ from 10° to 90°), sorted by position:
- 2θ = 14.86°, I = 28
- 2θ = 17.42°, I = 41
- 2θ = 23.81°, I = 25
- 2θ = 31.53°, I = 29
- 2θ = 31.79°, I = 51
- 2θ = 32.00°, I = 100
- 2θ = 45.71°, I = 91
- 2θ = 46.12°, I = 18
- 2θ = 56.70°, I = 19
- 2θ = 57.10°, I = 19

---

No. 4
For CaTlAgMoN, a structure optimized by DFT (GGA-PBE) gives the calculated powder diffraction line list in this record (Cu Kα, 1.54184 Å).
Peak positions follow from Bragg's law for the DFT cell and can differ from measured ones.

Atomic structure:
```
15
Lattice="3.151 0.000 0.000 -1.575 2.729 0.000 0.000 0.000 30.791" Properties=species:S:1:pos:R:3 pbc="T T T"
Ca 0.000 0.000 0.000
Ca 0.000 1.819 20.528
Ca 1.575 0.910 10.264
Tl 0.000 0.000 25.758
Tl 0.000 1.819 15.494
Tl 1.575 0.910 5.230
Ag 0.000 0.000 12.975
Ag 0.000 1.819 2.711
Ag 1.575 0.910 23.239
Mo 0.000 0.000 17.924
Mo 0.000 1.819 7.660
Mo 1.575 0.910 28.188
N 0.000 0.000 8.838
N 0.000 1.819 29.366
N 1.575 0.910 19.102
```

The 10 most intense peaks (2θ from 10° to 90°), sorted by position:
- 2θ = 32.96°, I = 24
- 2θ = 33.35°, I = 37
- 2θ = 34.93°, I = 93
- 2θ = 36.00°, I = 94
- 2θ = 38.84°, I = 100
- 2θ = 40.53°, I = 32
- 2θ = 58.60°, I = 39
- 2θ = 61.44°, I = 16
- 2θ = 67.18°, I = 19
- 2θ = 70.09°, I = 46

---

No. 5
For Cu3Te2O10, a structure optimized by DFT (GGA-PBE) gives the calculated powder diffraction line list in this record (Cu Kα, 1.54184 Å).
Peak positions follow from Bragg's law for the DFT cell and can differ from measured ones.

Atomic structure:
```
15
Lattice="5.236 0.000 0.000 -1.630 5.399 0.000 -0.800 -2.785 7.128" Properties=species:S:1:pos:R:3 pbc="T T T"
Cu 0.000 0.000 0.000
Cu 0.469 3.070 0.695
Cu 2.336 -0.455 6.434
Te -0.256 -0.805 4.947
Te 3.062 3.420 2.181
O -1.169 0.589 5.999
O -1.341 2.965 3.886
O -0.691 4.563 1.434
O 0.517 -1.423 6.743
O 1.413 0.052 4.801
O 1.393 2.563 2.327
O 2.288 4.037 0.385
O 3.497 -1.948 5.694
O 4.147 -0.351 3.242
O 3.975 2.026 1.129
```

The 10 most intense peaks (2θ from 10° to 90°), sorted by position:
- 2θ = 12.42°, I = 21
- 2θ = 17.50°, I = 100
- 2θ = 18.12°, I = 40
- 2θ = 20.55°, I = 32
- 2θ = 25.11°, I = 23
- 2θ = 34.14°, I = 17
- 2θ = 36.12°, I = 27
- 2θ = 39.53°, I = 33
- 2θ = 41.04°, I = 29
- 2θ = 45.40°, I = 26

---

No. 6
For Li2NpPd6, a structure optimized by DFT (GGA-PBE) gives the calculated powder diffraction line list in this record (Cu Kα, 1.54184 Å).
Peak positions follow from Bragg's law for the DFT cell and can differ from measured ones.

Atomic structure:
```
18
Lattice="8.325 0.000 0.000 0.000 8.325 0.000 0.000 0.000 4.145" Properties=species:S:1:pos:R:3 pbc="T T T"
Li 1.644 1.644 0.000
Li 2.519 5.806 2.072
Li 5.806 2.519 2.072
Li 6.681 6.681 0.000
Np 0.000 0.000 2.072
Np 4.162 4.162 0.000
Pd 0.096 2.749 2.072
Pd 1.273 7.052 0.000
Pd 1.414 4.258 0.000
Pd 2.749 0.096 2.072
Pd 2.890 2.890 2.072
Pd 4.067 6.911 0.000
Pd 4.258 1.414 0.000
Pd 5.435 5.435 2.072
Pd 5.576 8.229 2.072
Pd 6.911 4.067 0.000
Pd 7.052 1.273 0.000
Pd 8.229 5.576 2.072
```

The 10 most intense peaks (2θ from 10° to 90°), sorted by position:
- 2θ = 21.35°, I = 18
- 2θ = 23.96°, I = 31
- 2θ = 26.30°, I = 10
- 2θ = 39.06°, I = 100
- 2θ = 43.68°, I = 19
- 2θ = 44.93°, I = 14
- 2θ = 46.27°, I = 29
- 2θ = 65.51°, I = 21
- 2θ = 77.12°, I = 13
- 2θ = 80.85°, I = 21